Entry 1:
Ce2O3: simulated powder diffraction line list (Cu Ka), based on the PBE geometry in the Materials Project.
Intensities are scaled so that the largest is 100.

Top 10 peaks for 5° ≤ 2θ ≤ 70°, by intensity:
two_theta, intensity
16.54, 100
40.62, 72
28.86, 71
59.30, 23
32.67, 23
44.14, 22
27.97, 19
44.75, 15
51.14, 15
65.89, 14

Structural model:
Lattice parameters (Å, degrees): 6.187 6.187 3.190 90.00 90.00 120.00
Fractional positions:
Ce  0.333  0.667  0.498
Ce  0.667  0.333  0.502
O  0.000  0.511  0.000
O  0.489  0.489  0.000
O  0.511  0.000  0.000

---

Entry 2:
Ce2O3: simulated powder diffraction line list (Cu Ka), based on the PBE geometry in the Materials Project.
Intensities are scaled so that the largest is 100.

Top 10 peaks for 5° ≤ 2θ ≤ 70°, by intensity:
two_theta, intensity
23.98, 100
18.58, 36
15.03, 32
35.81, 31
32.47, 30
40.77, 24
53.06, 23
57.62, 15
60.11, 14
45.03, 14

Structural model:
Lattice parameters (Å, degrees): 5.515 5.515 5.893 90.00 90.00 120.00
Fractional positions:
Ce  0.333  0.667  0.176
Ce  0.667  0.333  0.824
O  0.000  0.656  0.000
O  0.344  0.344  0.000
O  0.656  0.000  0.000

---

Entry 3:
Ce2O3: simulated powder diffraction line list (Cu Ka), based on the PBE geometry in the Materials Project.
Intensities are scaled so that the largest is 100.

Top 10 peaks for 5° ≤ 2θ ≤ 70°, by intensity:
two_theta, intensity
31.42, 100
29.33, 94
30.64, 90
27.26, 89
28.70, 88
46.11, 61
30.33, 58
41.08, 55
52.33, 38
54.12, 35

Structural model:
Lattice parameters (Å, degrees): 7.452 7.452 8.984 99.91 99.91 28.79
Fractional positions:
Ce  0.033  0.033  0.314
Ce  0.311  0.311  0.361
Ce  0.367  0.367  0.010
Ce  0.633  0.633  0.990
Ce  0.689  0.689  0.639
Ce  0.967  0.967  0.686
O  0.128  0.128  0.786
O  0.177  0.177  0.472
O  0.202  0.202  0.127
O  0.473  0.473  0.841
O  0.500  0.500  0.500
O  0.527  0.527  0.159
O  0.798  0.798  0.873
O  0.823  0.823  0.528
O  0.872  0.872  0.214

---

Entry 4:
Ce4P5SO28: simulated powder diffraction line list (Cu Ka), based on the PBE geometry in the Materials Project.
Intensities are scaled so that the largest is 100.

Top 10 peaks for 5° ≤ 2θ ≤ 70°, by intensity:
two_theta, intensity
11.15, 100
27.77, 37
17.67, 33
17.37, 32
26.72, 14
27.92, 13
33.15, 13
12.47, 13
31.89, 11
28.86, 10

Structural model:
Lattice parameters (Å, degrees): 9.454 9.454 10.253 118.60 118.60 62.97
Fractional positions:
Ce  0.114  0.114  0.326
Ce  0.160  0.608  0.161
Ce  0.392  0.840  0.839
Ce  0.886  0.886  0.674
P  0.078  0.208  0.995
P  0.193  0.519  0.500
P  0.266  0.734  0.000
P  0.481  0.807  0.500
P  0.792  0.922  0.005
S  0.007  0.993  0.500
O  0.009  0.161  0.528
O  0.020  0.635  0.521
O  0.052  0.391  0.020
O  0.065  0.875  0.361
O  0.077  0.200  0.142
O  0.125  0.935  0.639
O  0.146  0.794  0.855
O  0.202  0.522  0.355
O  0.206  0.854  0.145
O  0.217  0.338  0.479
O  0.252  0.096  0.973
O  0.262  0.561  0.976
O  0.337  0.587  0.645
O  0.365  0.980  0.479
O  0.413  0.663  0.355
O  0.422  0.366  0.184
O  0.439  0.738  0.024
O  0.478  0.798  0.645
O  0.609  0.948  0.980
O  0.634  0.578  0.816
O  0.650  0.150  0.701
O  0.662  0.783  0.521
O  0.800  0.923  0.858
O  0.839  0.991  0.472
O  0.850  0.350  0.299
O  0.860  0.062  0.154
O  0.904  0.748  0.027
O  0.938  0.140  0.846

---

Entry 5:
CeZnPO: simulated powder diffraction line list (Cu Ka), based on the PBE geometry in the Materials Project.
Intensities are scaled so that the largest is 100.

Top 10 peaks for 5° ≤ 2θ ≤ 70°, by intensity:
two_theta, intensity
28.30, 100
45.51, 80
29.62, 79
34.75, 50
58.50, 47
39.06, 46
32.90, 30
54.30, 24
25.97, 20
53.10, 16

Structural model:
Lattice parameters (Å, degrees): 10.585 10.585 10.585 21.70 21.70 21.70
Fractional positions:
Ce  0.119  0.119  0.119
Ce  0.881  0.881  0.881
Zn  0.304  0.304  0.304
Zn  0.696  0.696  0.696
P  0.386  0.386  0.386
P  0.614  0.614  0.614
O  0.195  0.195  0.195
O  0.805  0.805  0.805

---

Entry 6:
Ce5Pb3O: simulated powder diffraction line list (Cu Ka), based on the PBE geometry in the Materials Project.
Intensities are scaled so that the largest is 100.

Top 10 peaks for 5° ≤ 2θ ≤ 70°, by intensity:
two_theta, intensity
29.80, 100
32.93, 55
61.18, 20
32.49, 13
50.83, 13
59.79, 12
47.55, 11
29.37, 10
63.06, 10
61.93, 10

Structural model:
Lattice parameters (Å, degrees): 9.410 9.410 9.410 125.62 125.62 80.51
Fractional positions:
Ce  0.000  0.000  0.000
Ce  0.002  0.502  0.809
Ce  0.193  0.002  0.500
Ce  0.307  0.807  0.809
Ce  0.498  0.307  0.500
Ce  0.500  0.500  0.000
Ce  0.502  0.693  0.500
Ce  0.693  0.193  0.191
Ce  0.807  0.998  0.500
Ce  0.998  0.498  0.191
Pb  0.145  0.355  0.500
Pb  0.250  0.250  0.000
Pb  0.355  0.855  0.211
Pb  0.645  0.145  0.789
Pb  0.750  0.750  0.000
Pb  0.855  0.645  0.500
O  0.250  0.750  0.500
O  0.750  0.250  0.500

---

Entry 7:
CePrO2: simulated powder diffraction line list (Cu Ka), based on the PBE geometry in the Materials Project.
Intensities are scaled so that the largest is 100.

Top 9 peaks for 5° ≤ 2θ ≤ 70°, by intensity:
two_theta, intensity
35.58, 100
30.65, 92
60.83, 42
51.10, 35
51.30, 34
30.80, 30
63.81, 17
61.05, 14
64.17, 6

Structural model:
Lattice parameters (Å, degrees): 3.575 3.575 17.416 90.00 90.00 120.00
Fractional positions:
Ce  0.000  0.000  0.000
Ce  0.333  0.667  0.667
Ce  0.667  0.333  0.333
Pr  0.000  0.000  0.500
Pr  0.333  0.667  0.167
Pr  0.667  0.333  0.833
O  0.000  0.000  0.255
O  0.000  0.000  0.745
O  0.333  0.667  0.412
O  0.333  0.667  0.921
O  0.667  0.333  0.079
O  0.667  0.333  0.588

---

Entry 8:
Ce3PrO8: simulated powder diffraction line list (Cu Ka), based on the PBE geometry in the Materials Project.
Intensities are scaled so that the largest is 100.

Top 7 peaks for 5° ≤ 2θ ≤ 70°, by intensity:
two_theta, intensity
27.98, 100
46.51, 55
55.16, 45
32.42, 29
57.84, 8
67.93, 6
67.81, 3

Structural model:
Lattice parameters (Å, degrees): 6.767 6.767 6.767 131.86 131.86 70.45
Fractional positions:
Ce  0.000  0.000  0.000
Ce  0.250  0.750  0.500
Ce  0.750  0.250  0.500
Pr  0.500  0.500  0.000
O  0.116  0.116  0.487
O  0.116  0.628  0.000
O  0.372  0.372  0.487
O  0.372  0.884  0.000
O  0.628  0.116  0.000
O  0.628  0.628  0.513
O  0.884  0.372  0.000
O  0.884  0.884  0.513